Record 1
The following is a computed XRD peak list of HfZr2Al3FeCu2. It was derived from a DFT-relaxed cell (GGA-PBE, OQMD), using a wavelength of 1.5418 Å.
Neutral-atom scattering factors, no anomalous dispersion.

Main lines, in order of rising 2θ (5 to 70 degrees two-theta):
two_theta	I_rel
15.8	34.3
21.8	24.4
27.7	23.5
35.3	41.8
35.5	100.0
39.0	67.2
39.2	44.7
44.4	37.9

Cell and atoms:
Cell: 4.082 6.439 6.439 Å, 119.40 90.00 90.00°
Atoms (fractional coordinates):
Hf 0.000 0.000 0.000
Zr 0.000 0.188 0.595
Zr 0.000 0.595 0.188
Al 0.500 0.357 0.357
Al 0.500 0.595 0.835
Al 0.500 0.835 0.595
Fe 0.000 0.601 0.601
Cu 0.500 0.258 0.930
Cu 0.500 0.930 0.258

Record 2
The following is a computed XRD peak list of LaAl5FeCu. It was derived from a DFT-relaxed cell (GGA-PBE, OQMD), using a wavelength of 1.5418 Å.
Neutral-atom scattering factors, no anomalous dispersion.

Main lines, in order of rising 2θ (5 to 70 degrees two-theta):
two_theta	I_rel
15.4	33.2
24.9	43.4
30.3	34.1
31.6	100.0
34.9	71.8
35.7	44.9
45.1	43.6
48.2	50.6

Cell and atoms:
Cell: 6.354 6.354 6.354 Å, 143.37 111.44 80.33°
Atoms (fractional coordinates):
La 0.000 0.000 0.000
Al 0.157 0.339 0.817
Al 0.459 0.653 0.805
Al 0.497 0.997 0.500
Al 0.522 0.339 0.183
Al 0.848 0.653 0.195
Fe 0.261 0.761 0.500
Cu 0.742 0.242 0.500

Record 3
The following is a computed XRD peak list of LiAl2FeCu4. It was derived from a DFT-relaxed cell (GGA-PBE, OQMD), using a wavelength of 1.5418 Å.
Neutral-atom scattering factors, no anomalous dispersion.

Main lines, in order of rising 2θ (5 to 70 degrees two-theta):
two_theta	I_rel
17.2	10.6
30.6	11.4
31.1	21.9
44.2	100.0
44.5	48.9
55.0	8.1
63.8	7.7
64.8	14.7

Cell and atoms:
Cell: 7.114 7.114 7.114 Å, 132.29 132.29 69.78°
Atoms (fractional coordinates):
Li 0.375 0.625 0.750
Li 0.625 0.375 0.250
Al 0.123 0.373 0.750
Al 0.373 0.123 0.250
Al 0.627 0.877 0.750
Al 0.877 0.627 0.250
Fe 0.125 0.875 0.250
Fe 0.875 0.125 0.750
Cu 0.000 0.252 0.252
Cu 0.000 0.748 0.748
Cu 0.252 0.000 0.752
Cu 0.252 0.500 0.252
Cu 0.500 0.252 0.752
Cu 0.500 0.748 0.248
Cu 0.748 0.000 0.248
Cu 0.748 0.500 0.748

Record 4
The following is a computed XRD peak list of ScAl2FeCu4. It was derived from a DFT-relaxed cell (GGA-PBE, OQMD), using a wavelength of 1.5418 Å.
Neutral-atom scattering factors, no anomalous dispersion.

Main lines, in order of rising 2θ (5 to 70 degrees two-theta):
two_theta	I_rel
16.6	2.9
25.9	3.7
29.9	10.0
42.9	100.0
53.2	2.3
56.2	1.2
62.1	5.2
62.3	9.6

Cell and atoms:
Cell: 7.316 7.316 7.316 Å, 131.91 131.91 70.37°
Atoms (fractional coordinates):
Sc 0.375 0.625 0.750
Sc 0.625 0.375 0.250
Al 0.130 0.380 0.750
Al 0.380 0.130 0.250
Al 0.620 0.870 0.750
Al 0.870 0.620 0.250
Fe 0.125 0.875 0.250
Fe 0.875 0.125 0.750
Cu 0.000 0.229 0.229
Cu 0.000 0.771 0.771
Cu 0.229 0.000 0.729
Cu 0.229 0.500 0.229
Cu 0.500 0.229 0.729
Cu 0.500 0.771 0.271
Cu 0.771 0.000 0.271
Cu 0.771 0.500 0.771

Record 5
The following is a computed XRD peak list of AlFeCuSe4. It was derived from a DFT-relaxed cell (GGA-PBE, OQMD), using a wavelength of 1.5418 Å.
Neutral-atom scattering factors, no anomalous dispersion.

Main lines, in order of rising 2θ (5 to 70 degrees two-theta):
two_theta	I_rel
14.8	47.5
28.6	25.9
29.9	46.3
34.6	80.4
34.7	40.0
45.4	22.4
49.8	100.0
62.0	24.1

Cell and atoms:
Cell: 7.337 7.337 10.345 Å, 90.00 90.00 90.00°
Atoms (fractional coordinates):
Al 0.243 0.243 0.375
Al 0.243 0.757 0.125
Al 0.757 0.243 0.625
Al 0.757 0.757 0.875
Fe 0.000 0.253 0.000
Fe 0.000 0.747 0.500
Fe 0.253 0.000 0.750
Fe 0.747 0.000 0.250
Cu 0.248 0.500 0.750
Cu 0.500 0.248 0.000
Cu 0.500 0.752 0.500
Cu 0.752 0.500 0.250
Se 0.025 0.239 0.767
Se 0.025 0.761 0.733
Se 0.239 0.025 0.983
Se 0.239 0.975 0.517
Se 0.240 0.480 0.996
Se 0.240 0.520 0.504
Se 0.480 0.240 0.754
Se 0.480 0.760 0.746
Se 0.520 0.240 0.246
Se 0.520 0.760 0.254
Se 0.760 0.480 0.004
Se 0.760 0.520 0.496
Se 0.761 0.025 0.017
Se 0.761 0.975 0.483
Se 0.975 0.239 0.233
Se 0.975 0.761 0.267

Record 6
The following is a computed XRD peak list of TmZr2Al3FeCu2. It was derived from a DFT-relaxed cell (GGA-PBE, OQMD), using a wavelength of 1.5418 Å.
Neutral-atom scattering factors, no anomalous dispersion.

Main lines, in order of rising 2θ (5 to 70 degrees two-theta):
two_theta	I_rel
15.5	28.5
21.7	23.8
34.8	45.8
35.0	100.0
38.4	79.0
38.7	42.1
44.1	39.2
47.7	33.4

Cell and atoms:
Cell: 4.103 6.555 6.555 Å, 119.32 90.00 90.00°
Atoms (fractional coordinates):
Tm 0.000 0.000 0.000
Zr 0.000 0.183 0.588
Zr 0.000 0.588 0.183
Al 0.500 0.351 0.351
Al 0.500 0.583 0.823
Al 0.500 0.823 0.583
Fe 0.000 0.574 0.574
Cu 0.500 0.258 0.919
Cu 0.500 0.919 0.258